(1)
Computed X-ray diffraction stick pattern
Compound: AlTe3Au2
Radiation: Cu Kα, 1.54184 Å
Structure: a DFT-relaxed cell (PBE, Alexandria)
Peak positions follow from Bragg's law for the DFT cell and can differ from measured ones.

Most intense lines, 5° ≤ 2θ ≤ 70°, in order of rising 2θ:
d/Å, 2theta, Rel. int., (hkl)
6.385, 13.9, 13, 1 1 0
3.632, 24.5, 100, 2 0 0
3.601, 24.7, 32, 0 0 2
2.231, 40.4, 17, 0 6 0
2.224, 40.6, 35, 3 3 -1
2.218, 40.7, 17, 2 0 2
2.209, 40.8, 34, 1 3 -3
1.901, 47.9, 11, 2 6 0
1.897, 48.0, 20, 0 6 2
1.888, 48.2, 23, 1 3 3
1.573, 58.7, 12, 2 6 2
1.443, 64.6, 9, 5 3 -1

Cell and atoms:
abc: 7.6969 13.3831 7.6300
angles: 90.00 109.27 90.00
Space group Cc (No. 9)
One atom of each set of equivalent atoms:
Al 0.0000 0.0823 0.0000 x4
Te 0.1310 0.2461 0.8879 x4
Te 0.1347 0.0785 0.3751 x4
Te 0.1351 0.4130 0.3897 x4
Au 0.0071 0.2441 0.5107 x4
Au 0.0226 0.4169 0.0140 x4

(2)
Computed X-ray diffraction stick pattern
Compound: TbPr12Y6
Radiation: Cu Kα, 1.54184 Å
Structure: a DFT-relaxed cell (PBE, Alexandria)
Peak positions follow from Bragg's law for the DFT cell and can differ from measured ones.

Most intense lines, 5° ≤ 2θ ≤ 70°, in order of rising 2θ:
d/Å, 2theta, Rel. int., (hkl)
3.899, 22.8, 29, 2 1 1
2.961, 30.2, 53, 0 1 5
2.923, 30.6, 32, 0 3 3
2.904, 30.8, 100, 1 3 1
2.785, 32.1, 76, 3 -1 4
2.761, 32.4, 29, 4 -1 2
2.640, 34.0, 21, 2 2 3
2.065, 43.8, 17, 5 -2 4
1.972, 46.0, 11, 2 2 6
1.708, 53.7, 19, 5 2 0
1.627, 56.6, 15, 6 -5 5
1.497, 62.0, 14, 4 -2 9

Cell and atoms:
abc: 12.3119 12.3119 15.4127
angles: 90.00 90.00 120.00
Space group R-3 (No. 148, hexagonal axes)
One atom of each set of equivalent atoms:
Tb 0.0000 0.0000 0.0000 x3
Pr 0.0015 0.8292 0.1920 x18
Pr 0.0483 0.8501 0.4164 x18
Y 0.0166 0.4281 0.6882 x18

(3)
Computed X-ray diffraction stick pattern
Compound: Li2IrF6
Radiation: Cu Kα, 1.54184 Å
Structure: a DFT-relaxed cell (PBE, Alexandria)
Peak positions follow from Bragg's law for the DFT cell and can differ from measured ones.

Most intense lines, 5° ≤ 2θ ≤ 70°, in order of rising 2θ:
d/Å, 2theta, Rel. int., (hkl)
4.563, 19.5, 100, 0 1 1
4.296, 20.7, 41, 0 0 2
4.149, 21.4, 100, 1 0 1
3.558, 25.0, 49, 1 1 0
2.740, 32.7, 55, 1 1 2
2.451, 36.7, 19, 1 0 3
2.259, 39.9, 31, 1 2 1
2.103, 43.0, 23, 2 1 1
1.839, 49.6, 16, 1 1 4
1.813, 50.3, 15, 1 2 3
1.729, 53.0, 25, 2 1 3
1.346, 69.9, 15, 3 2 1

Cell and atoms:
abc: 4.7388 5.3856 8.5916
angles: 90.00 90.00 90.00
Space group Pnnm (No. 58)
One atom of each set of equivalent atoms:
Li 0.0000 0.0000 0.1860 x4
Ir 0.0000 0.5000 0.0000 x2
F 0.2004 0.1767 0.0000 x4
F 0.2289 0.6571 0.1632 x8

(4)
Computed X-ray diffraction stick pattern
Compound: Mg2NiH2
Radiation: Cu Kα, 1.54184 Å
Structure: a DFT-relaxed cell (PBE, Alexandria)
Peak positions follow from Bragg's law for the DFT cell and can differ from measured ones.

Most intense lines, 5° ≤ 2θ ≤ 70°, in order of rising 2θ:
d/Å, 2theta, Rel. int., (hkl)
3.626, 24.5, 83, 1 0 1
3.140, 28.4, 2, 0 0 2
2.221, 40.6, 100, 1 1 2
1.894, 48.0, 38, 1 0 3
1.571, 58.8, 11, 2 2 0
1.569, 58.9, 5, 0 0 4
1.441, 64.7, 14, 2 1 3
1.404, 66.6, 1, 2 2 2

Cell and atoms:
abc: 4.4434 4.4434 6.2741
angles: 90.00 90.00 90.00
Space group P4_2/mnm (No. 136)
One atom of each set of equivalent atoms:
Mg 0.0000 0.5000 0.2500 x4
Ni 0.0000 0.0000 0.0000 x2
H 0.2425 0.2425 0.0000 x4

- What is the formula in the fourth record?
  Mg2NiH2

Repeat the second record exactly.
Computed X-ray diffraction stick pattern
Compound: TbPr12Y6
Radiation: Cu Kα, 1.54184 Å
Structure: a DFT-relaxed cell (PBE, Alexandria)
Peak positions follow from Bragg's law for the DFT cell and can differ from measured ones.

Most intense lines, 5° ≤ 2θ ≤ 70°, in order of rising 2θ:
d/Å, 2theta, Rel. int., (hkl)
3.899, 22.8, 29, 2 1 1
2.961, 30.2, 53, 0 1 5
2.923, 30.6, 32, 0 3 3
2.904, 30.8, 100, 1 3 1
2.785, 32.1, 76, 3 -1 4
2.761, 32.4, 29, 4 -1 2
2.640, 34.0, 21, 2 2 3
2.065, 43.8, 17, 5 -2 4
1.972, 46.0, 11, 2 2 6
1.708, 53.7, 19, 5 2 0
1.627, 56.6, 15, 6 -5 5
1.497, 62.0, 14, 4 -2 9

Cell and atoms:
abc: 12.3119 12.3119 15.4127
angles: 90.00 90.00 120.00
Space group R-3 (No. 148, hexagonal axes)
One atom of each set of equivalent atoms:
Tb 0.0000 0.0000 0.0000 x3
Pr 0.0015 0.8292 0.1920 x18
Pr 0.0483 0.8501 0.4164 x18
Y 0.0166 0.4281 0.6882 x18